No. 1
Simulated powder diffraction line list of Mg14GaNi for Cu Kα, from a GGA-PBE-relaxed structure.

Structure:
```
data_Mg14GaNi
_space_group_name_H-M_alt 'P 1'
_space_group_IT_number 1
_cell_length_a 9.926
_cell_length_b 6.215
_cell_length_c 6.215
_cell_angle_alpha 60.44
_cell_angle_beta 90.00
_cell_angle_gamma 90.00
loop_
_space_group_symop_operation_xyz
'x,y,z'
loop_
_atom_site_label
_atom_site_type_symbol
_atom_site_fract_x
_atom_site_fract_y
_atom_site_fract_z
Mg1 Mg 0.000 0.000 0.000
Mg2 Mg 0.000 0.497 0.999
Mg3 Mg 0.000 0.499 0.499
Mg4 Mg 0.000 0.999 0.497
Mg5 Mg 0.252 0.834 0.834
Mg6 Mg 0.260 0.337 0.337
Mg7 Mg 0.269 0.332 0.823
Mg8 Mg 0.269 0.823 0.332
Mg9 Mg 0.500 0.002 0.504
Mg10 Mg 0.500 0.504 0.002
Mg11 Mg 0.731 0.332 0.823
Mg12 Mg 0.731 0.823 0.332
Mg13 Mg 0.740 0.337 0.337
Mg14 Mg 0.748 0.834 0.834
Ga1 Ga 0.500 0.994 0.994
Ni1 Ni 0.500 0.496 0.496
```

The 10 most intense peaks (2θ from 10° to 90°), low angle first:
2θ/deg, I/Imax
18.8, 14
33.1, 27
36.2, 36
37.9, 100
38.1, 49
49.9, 16
59.5, 17
66.2, 16
71.7, 17
72.5, 13

---

No. 2
Simulated powder diffraction line list of FeH4 for Cu Kα, from a GGA-PBE-relaxed structure.

Structure:
```
data_FeH4
_space_group_name_H-M_alt 'P 1'
_space_group_IT_number 1
_cell_length_a 2.897
_cell_length_b 3.688
_cell_length_c 4.179
_cell_angle_alpha 90.00
_cell_angle_beta 102.29
_cell_angle_gamma 90.00
loop_
_space_group_symop_operation_xyz
'x,y,z'
loop_
_atom_site_label
_atom_site_type_symbol
_atom_site_fract_x
_atom_site_fract_y
_atom_site_fract_z
Fe1 Fe 0.003 0.250 0.236
Fe2 Fe 0.997 0.750 0.764
H1 H 0.047 0.750 0.150
H2 H 0.294 0.001 0.569
H3 H 0.294 0.499 0.569
H4 H 0.500 0.000 0.000
H5 H 0.500 0.500 0.000
H6 H 0.706 0.501 0.431
H7 H 0.706 0.999 0.431
H8 H 0.953 0.250 0.850
```

The 10 most intense peaks (2θ from 10° to 90°), low angle first:
2θ/deg, I/Imax
31.6, 56
32.7, 100
42.5, 47
44.4, 19
49.2, 15
49.5, 43
59.9, 17
68.6, 11
70.4, 9
72.3, 8

---

No. 3
Simulated powder diffraction line list of Nd2TiO5 for Cu Kα, from a GGA-PBE-relaxed structure.

Structure:
```
data_Nd2TiO5
_space_group_name_H-M_alt 'P 1'
_space_group_IT_number 1
_cell_length_a 10.825
_cell_length_b 3.858
_cell_length_c 11.556
_cell_angle_alpha 90.00
_cell_angle_beta 90.00
_cell_angle_gamma 90.00
loop_
_space_group_symop_operation_xyz
'x,y,z'
loop_
_atom_site_label
_atom_site_type_symbol
_atom_site_fract_x
_atom_site_fract_y
_atom_site_fract_z
Nd1 Nd 0.106 0.250 0.220
Nd2 Nd 0.138 0.250 0.556
Nd3 Nd 0.362 0.750 0.056
Nd4 Nd 0.394 0.750 0.720
Nd5 Nd 0.606 0.250 0.280
Nd6 Nd 0.638 0.250 0.944
Nd7 Nd 0.862 0.750 0.444
Nd8 Nd 0.894 0.750 0.780
Ti1 Ti 0.183 0.250 0.876
Ti2 Ti 0.317 0.750 0.376
Ti3 Ti 0.683 0.250 0.624
Ti4 Ti 0.817 0.750 0.124
O1 O 0.009 0.750 0.604
O2 O 0.022 0.250 0.841
O3 O 0.223 0.250 0.036
O4 O 0.233 0.750 0.229
O5 O 0.237 0.750 0.878
O6 O 0.263 0.250 0.378
O7 O 0.267 0.250 0.729
O8 O 0.277 0.750 0.536
O9 O 0.478 0.750 0.341
O10 O 0.491 0.250 0.104
O11 O 0.509 0.750 0.896
O12 O 0.522 0.250 0.659
O13 O 0.723 0.250 0.464
O14 O 0.733 0.750 0.271
O15 O 0.737 0.750 0.622
O16 O 0.763 0.250 0.122
O17 O 0.767 0.250 0.771
O18 O 0.777 0.750 0.964
O19 O 0.978 0.750 0.159
O20 O 0.991 0.250 0.396
```

The 10 most intense peaks (2θ from 10° to 90°), low angle first:
2θ/deg, I/Imax
11.2, 13
24.5, 14
28.4, 100
32.9, 20
41.5, 9
47.1, 13
47.3, 21
48.0, 9
53.9, 12
56.0, 15

---

No. 4
Simulated powder diffraction line list of GeN2F6 for Cu Kα, from a GGA-PBE-relaxed structure.

Structure:
```
data_GeN2F6
_space_group_name_H-M_alt 'P 1'
_space_group_IT_number 1
_cell_length_a 5.568
_cell_length_b 5.568
_cell_length_c 5.568
_cell_angle_alpha 60.00
_cell_angle_beta 60.00
_cell_angle_gamma 60.00
loop_
_space_group_symop_operation_xyz
'x,y,z'
loop_
_atom_site_label
_atom_site_type_symbol
_atom_site_fract_x
_atom_site_fract_y
_atom_site_fract_z
Ge1 Ge 0.000 0.000 0.000
N1 N 0.250 0.250 0.250
N2 N 0.750 0.750 0.750
F1 F 0.232 0.232 0.768
F2 F 0.232 0.768 0.232
F3 F 0.232 0.768 0.768
F4 F 0.768 0.232 0.232
F5 F 0.768 0.232 0.768
F6 F 0.768 0.768 0.232
```

The 10 most intense peaks (2θ from 10° to 90°), low angle first:
2θ/deg, I/Imax
19.5, 100
22.6, 51
32.1, 23
37.9, 35
46.1, 41
50.5, 9
51.9, 20
61.2, 17
67.3, 21
70.8, 15

---

No. 5
Simulated powder diffraction line list of Sr2Mg for Cu Kα, from a GGA-PBE-relaxed structure.

Structure:
```
data_Sr2Mg
_space_group_name_H-M_alt 'P 1'
_space_group_IT_number 1
_cell_length_a 10.070
_cell_length_b 10.070
_cell_length_c 6.456
_cell_angle_alpha 90.00
_cell_angle_beta 90.00
_cell_angle_gamma 156.06
loop_
_space_group_symop_operation_xyz
'x,y,z'
loop_
_atom_site_label
_atom_site_type_symbol
_atom_site_fract_x
_atom_site_fract_y
_atom_site_fract_z
Sr1 Sr 0.068 0.932 0.750
Sr2 Sr 0.368 0.632 0.750
Sr3 Sr 0.632 0.368 0.250
Sr4 Sr 0.932 0.068 0.250
Mg1 Mg 0.278 0.722 0.250
Mg2 Mg 0.722 0.278 0.750
```

The 10 most intense peaks (2θ from 10° to 90°), low angle first:
2θ/deg, I/Imax
18.0, 19
22.7, 26
25.3, 33
25.8, 30
27.6, 45
28.9, 100
30.5, 41
37.8, 22
48.1, 19
49.6, 22

---

No. 6
Simulated powder diffraction line list of Rb2Si3SnO9 for Cu Kα, from a GGA-PBE-relaxed structure.

Structure:
```
data_Rb2Si3SnO9
_space_group_name_H-M_alt 'P 1'
_space_group_IT_number 1
_cell_length_a 7.098
_cell_length_b 7.098
_cell_length_c 10.198
_cell_angle_alpha 90.00
_cell_angle_beta 90.00
_cell_angle_gamma 120.00
loop_
_space_group_symop_operation_xyz
'x,y,z'
loop_
_atom_site_label
_atom_site_type_symbol
_atom_site_fract_x
_atom_site_fract_y
_atom_site_fract_z
Rb1 Rb 0.333 0.667 0.061
Rb2 Rb 0.333 0.667 0.439
Rb3 Rb 0.667 0.333 0.561
Rb4 Rb 0.667 0.333 0.939
Si1 Si 0.140 0.384 0.750
Si2 Si 0.245 0.860 0.750
Si3 Si 0.384 0.245 0.250
Si4 Si 0.616 0.755 0.750
Si5 Si 0.755 0.140 0.250
Si6 Si 0.860 0.616 0.250
Sn1 Sn 0.000 0.000 0.000
Sn2 Sn 0.000 0.000 0.500
O1 O 0.036 0.257 0.614
O2 O 0.036 0.257 0.886
O3 O 0.089 0.591 0.750
O4 O 0.222 0.964 0.614
O5 O 0.222 0.964 0.886
O6 O 0.257 0.222 0.114
O7 O 0.257 0.222 0.386
O8 O 0.409 0.498 0.750
O9 O 0.498 0.089 0.250
O10 O 0.502 0.911 0.750
O11 O 0.591 0.502 0.250
O12 O 0.743 0.778 0.614
O13 O 0.743 0.778 0.886
O14 O 0.778 0.036 0.114
O15 O 0.778 0.036 0.386
O16 O 0.911 0.409 0.250
O17 O 0.964 0.743 0.114
O18 O 0.964 0.743 0.386
```

The 10 most intense peaks (2θ from 10° to 90°), low angle first:
2θ/deg, I/Imax
22.7, 19
25.1, 58
30.0, 46
30.4, 25
30.7, 100
44.2, 19
47.8, 29
51.5, 15
53.3, 17
72.9, 14

---

No. 7
Simulated powder diffraction line list of K2LiSbBr6 for Cu Kα, from a GGA-PBE-relaxed structure.

Structure:
```
data_K2LiSbBr6
_space_group_name_H-M_alt 'P 1'
_space_group_IT_number 1
_cell_length_a 7.823
_cell_length_b 7.823
_cell_length_c 7.823
_cell_angle_alpha 60.00
_cell_angle_beta 60.00
_cell_angle_gamma 60.00
loop_
_space_group_symop_operation_xyz
'x,y,z'
loop_
_atom_site_label
_atom_site_type_symbol
_atom_site_fract_x
_atom_site_fract_y
_atom_site_fract_z
K1 K 0.250 0.250 0.250
K2 K 0.750 0.750 0.750
Li1 Li 0.000 0.000 0.000
Sb1 Sb 0.500 0.500 0.500
Br1 Br 0.246 0.246 0.754
Br2 Br 0.246 0.754 0.246
Br3 Br 0.246 0.754 0.754
Br4 Br 0.754 0.246 0.246
Br5 Br 0.754 0.246 0.754
Br6 Br 0.754 0.754 0.246
```

The 10 most intense peaks (2θ from 10° to 90°), low angle first:
2θ/deg, I/Imax
13.9, 23
16.0, 49
27.9, 82
32.4, 100
36.3, 26
46.4, 70
55.1, 33
57.7, 24
77.1, 30
86.1, 23

---

No. 8
Simulated powder diffraction line list of Ba2MgBi2O6 for Cu Kα, from a GGA-PBE-relaxed structure.

Structure:
```
data_Ba2MgBi2O6
_space_group_name_H-M_alt 'P 1'
_space_group_IT_number 1
_cell_length_a 6.741
_cell_length_b 6.741
_cell_length_c 6.741
_cell_angle_alpha 123.25
_cell_angle_beta 123.25
_cell_angle_gamma 84.46
loop_
_space_group_symop_operation_xyz
'x,y,z'
loop_
_atom_site_label
_atom_site_type_symbol
_atom_site_fract_x
_atom_site_fract_y
_atom_site_fract_z
Ba1 Ba 0.191 0.191 0.000
Ba2 Ba 0.809 0.809 0.000
Mg1 Mg 0.500 0.500 0.000
Bi1 Bi 0.000 0.500 0.500
Bi2 Bi 0.500 0.000 0.500
O1 O 0.250 0.750 0.500
O2 O 0.272 0.272 0.543
O3 O 0.272 0.728 0.000
O4 O 0.728 0.272 0.000
O5 O 0.728 0.728 0.457
O6 O 0.750 0.250 0.500
```

The 10 most intense peaks (2θ from 10° to 90°), low angle first:
2θ/deg, I/Imax
17.8, 17
26.6, 100
27.9, 68
30.3, 18
39.8, 37
41.3, 17
46.1, 15
48.5, 42
54.7, 14
65.1, 13

---

No. 9
Simulated powder diffraction line list of Tb2Ru2O7 for Cu Kα, from a GGA-PBE-relaxed structure.

Structure:
```
data_Tb2Ru2O7
_space_group_name_H-M_alt 'P 1'
_space_group_IT_number 1
_cell_length_a 7.264
_cell_length_b 7.264
_cell_length_c 7.264
_cell_angle_alpha 60.00
_cell_angle_beta 60.00
_cell_angle_gamma 60.00
loop_
_space_group_symop_operation_xyz
'x,y,z'
loop_
_atom_site_label
_atom_site_type_symbol
_atom_site_fract_x
_atom_site_fract_y
_atom_site_fract_z
Tb1 Tb 0.000 0.000 0.000
Tb2 Tb 0.000 0.000 0.500
Tb3 Tb 0.000 0.500 0.000
Tb4 Tb 0.500 0.000 0.000
Ru1 Ru 0.000 0.500 0.500
Ru2 Ru 0.500 0.000 0.500
Ru3 Ru 0.500 0.500 0.000
Ru4 Ru 0.500 0.500 0.500
O1 O 0.125 0.125 0.125
O2 O 0.163 0.163 0.587
O3 O 0.163 0.587 0.163
O4 O 0.163 0.587 0.587
O5 O 0.413 0.413 0.837
O6 O 0.413 0.837 0.413
O7 O 0.413 0.837 0.837
O8 O 0.587 0.163 0.163
O9 O 0.587 0.163 0.587
O10 O 0.587 0.587 0.163
O11 O 0.837 0.413 0.413
O12 O 0.837 0.413 0.837
O13 O 0.837 0.837 0.413
O14 O 0.875 0.875 0.875
```

The 10 most intense peaks (2θ from 10° to 90°), low angle first:
2θ/deg, I/Imax
14.9, 4
30.1, 100
34.9, 33
38.2, 5
50.2, 47
59.7, 43
62.7, 10
73.8, 7
81.7, 17
84.3, 14

---

No. 10
Simulated powder diffraction line list of KZr2Nb for Cu Kα, from a GGA-PBE-relaxed structure.

Structure:
```
data_KZr2Nb
_space_group_name_H-M_alt 'P 1'
_space_group_IT_number 1
_cell_length_a 5.105
_cell_length_b 5.105
_cell_length_c 5.105
_cell_angle_alpha 60.00
_cell_angle_beta 60.00
_cell_angle_gamma 60.00
loop_
_space_group_symop_operation_xyz
'x,y,z'
loop_
_atom_site_label
_atom_site_type_symbol
_atom_site_fract_x
_atom_site_fract_y
_atom_site_fract_z
K1 K 0.000 0.000 0.000
Zr1 Zr 0.250 0.250 0.250
Zr2 Zr 0.750 0.750 0.750
Nb1 Nb 0.500 0.500 0.500
```

The 10 most intense peaks (2θ from 10° to 90°), low angle first:
2θ/deg, I/Imax
21.3, 7
24.7, 3
35.2, 100
41.5, 4
50.6, 17
55.5, 2
57.1, 1
63.1, 34
74.3, 10
85.0, 15

---

No. 11
Simulated powder diffraction line list of U2MnNiSe6 for Cu Kα, from a GGA-PBE-relaxed structure.

Structure:
```
data_U2MnNiSe6
_space_group_name_H-M_alt 'P 1'
_space_group_IT_number 1
_cell_length_a 6.167
_cell_length_b 6.167
_cell_length_c 9.250
_cell_angle_alpha 91.03
_cell_angle_beta 91.03
_cell_angle_gamma 37.01
loop_
_space_group_symop_operation_xyz
'x,y,z'
loop_
_atom_site_label
_atom_site_type_symbol
_atom_site_fract_x
_atom_site_fract_y
_atom_site_fract_z
U1 U 0.235 0.235 0.244
U2 U 0.765 0.765 0.756
Mn1 Mn 0.000 0.000 0.500
Ni1 Ni 0.000 0.000 0.000
Se1 Se 0.083 0.083 0.756
Se2 Se 0.357 0.357 0.552
Se3 Se 0.361 0.361 0.953
Se4 Se 0.639 0.639 0.047
Se5 Se 0.643 0.643 0.448
Se6 Se 0.917 0.917 0.244
```

The 10 most intense peaks (2θ from 10° to 90°), low angle first:
2θ/deg, I/Imax
15.2, 74
24.3, 49
24.8, 53
33.7, 100
34.0, 99
37.8, 63
38.1, 54
38.2, 47
39.0, 57
46.4, 79

---

No. 12
Simulated powder diffraction line list of LiGeSbTe3 for Cu Kα, from a GGA-PBE-relaxed structure.

Structure:
```
data_LiGeSbTe3
_space_group_name_H-M_alt 'P 1'
_space_group_IT_number 1
_cell_length_a 4.291
_cell_length_b 4.291
_cell_length_c 10.699
_cell_angle_alpha 90.00
_cell_angle_beta 90.00
_cell_angle_gamma 120.00
loop_
_space_group_symop_operation_xyz
'x,y,z'
loop_
_atom_site_label
_atom_site_type_symbol
_atom_site_fract_x
_atom_site_fract_y
_atom_site_fract_z
Li1 Li 0.000 0.000 0.000
Ge1 Ge 0.333 0.667 0.687
Sb1 Sb 0.667 0.333 0.336
Te1 Te 0.000 0.000 0.506
Te2 Te 0.333 0.667 0.160
Te3 Te 0.667 0.333 0.830
```

The 10 most intense peaks (2θ from 10° to 90°), low angle first:
2θ/deg, I/Imax
25.4, 18
29.3, 100
41.6, 37
42.1, 36
51.2, 6
52.1, 20
60.7, 12
68.4, 15
69.1, 17
76.6, 12

---

Copy entry 5 word for word.
Simulated powder diffraction line list of Sr2Mg for Cu Kα, from a GGA-PBE-relaxed structure.

Structure:
```
data_Sr2Mg
_space_group_name_H-M_alt 'P 1'
_space_group_IT_number 1
_cell_length_a 10.070
_cell_length_b 10.070
_cell_length_c 6.456
_cell_angle_alpha 90.00
_cell_angle_beta 90.00
_cell_angle_gamma 156.06
loop_
_space_group_symop_operation_xyz
'x,y,z'
loop_
_atom_site_label
_atom_site_type_symbol
_atom_site_fract_x
_atom_site_fract_y
_atom_site_fract_z
Sr1 Sr 0.068 0.932 0.750
Sr2 Sr 0.368 0.632 0.750
Sr3 Sr 0.632 0.368 0.250
Sr4 Sr 0.932 0.068 0.250
Mg1 Mg 0.278 0.722 0.250
Mg2 Mg 0.722 0.278 0.750
```

The 10 most intense peaks (2θ from 10° to 90°), low angle first:
2θ/deg, I/Imax
18.0, 19
22.7, 26
25.3, 33
25.8, 30
27.6, 45
28.9, 100
30.5, 41
37.8, 22
48.1, 19
49.6, 22